Diffraction record for Sm3Mg7Ga4. The powder diffractogram is calculated, not measured: it uses a structure optimized by DFT (GGA-PBE) and copper Kα.

Largest 10 diffraction maxima, in order of falling intensity, 2θ from 10° to 80°:
2θ 32.47, I = 100, (1 1 2)
2θ 33.29, I = 62, (5 1 -2)
2θ 40.13, I = 59, (0 2 0)
2θ 28.02, I = 39, (3 1 0)
2θ 34.00, I = 27, (3 1 1)
2θ 21.50, I = 27, (1 1 -1)
2θ 16.90, I = 26, (2 0 -2)
2θ 32.99, I = 25, (6 0 -3)
2θ 21.15, I = 19, (2 0 1)
2θ 30.91, I = 16, (2 0 2)

Atomic structure:
```
data_Sm3Mg7Ga4
_chemical_formula_sum 'Sm6 Mg14 Ga8'
_cell_length_a 16.825
_cell_length_b 4.496
_cell_length_c 10.497
_cell_angle_alpha 90.00
_cell_angle_beta 126.44
_cell_angle_gamma 90.00
_space_group_name_H-M_alt 'C 1 2/m 1'
_space_group_IT_number 12
loop_
_space_group_symop_operation_xyz
'x,y,z'
'-x,-y,-z'
'-x,y,-z'
'x,-y,z'
'x+1/2,y+1/2,z'
'-x+1/2,-y+1/2,-z'
'-x+1/2,y+1/2,-z'
'x+1/2,-y+1/2,z'
loop_
_atom_site_label
_atom_site_type_symbol
_atom_site_fract_x
_atom_site_fract_y
_atom_site_fract_z
Sm1 Sm 0.000 0.000 0.000
Sm2 Sm 0.199 0.500 0.713
Mg1 Mg 0.000 0.000 0.500
Mg2 Mg 0.011 0.500 0.304
Mg3 Mg 0.165 0.000 0.430
Mg4 Mg 0.175 0.500 0.014
Ga1 Ga 0.119 0.000 0.835
Ga2 Ga 0.153 0.500 0.250
```